Diffraction record for Hg2AsPb. The powder XRD pattern is theoretical, not measured: it uses a cell relaxed with GGA-PBE and a wavelength of 1.5418 Å.
No peak broadening, texture or thermal motion is included.

Main lines, by angle (2θ = 10–90°):
| index | d [Å] | Rel. int. |
| --- | --- | --- |
| 2 0 0 | 2.735 | 55 |
| 0 2 1 | 2.643 | 100 |
| 2 2 -1 | 2.610 | 97 |
| 2 0 -2 | 2.570 | 47 |
| 0 0 2 | 1.898 | 19 |
| 2 2 1 | 1.568 | 21 |
| 4 2 -1 | 1.547 | 20 |
| 2 4 0 | 1.528 | 19 |

Structural model:
```
data_Hg2AsPb
_cell_length_a 7.4096
_cell_length_b 7.3671
_cell_length_c 5.1422
_cell_angle_alpha 90.00
_cell_angle_beta 132.43
_cell_angle_gamma 90.00
_symmetry_space_group_name_H-M 'C 1 2 1'
_symmetry_Int_Tables_number 5
loop_
_symmetry_equiv_pos_as_xyz
'x,y,z'
'-x,y,-z'
'x+1/2,y+1/2,z'
'-x+1/2,y+1/2,-z'
loop_
_atom_site_label
_atom_site_type_symbol
_atom_site_fract_x
_atom_site_fract_y
_atom_site_fract_z
Hg1 Hg 0.0000 0.0000 0.0000
Hg2 Hg 0.0000 0.2492 0.5000
As1 As 0.0000 0.4766 0.0000
Pb1 Pb 0.0000 0.7484 0.5000
```